For Mn3Fe3Co2O16, a structure optimized by DFT (PBE+U) gives the simulated powder XRD pattern in this record (λ = 1.5418 Å (Cu Kα)).

Principal peaks in the range 2θ = 10–90°, by angle:
2θ = 20.33°, intensity 98; 2θ = 20.43°, intensity 100; 2θ = 20.55°, intensity 89; 2θ = 27.09°, intensity 36; 2θ = 27.25°, intensity 31; 2θ = 35.59°, intensity 31; 2θ = 37.06°, intensity 76; 2θ = 37.20°, intensity 76; 2θ = 41.55°, intensity 36; 2θ = 47.83°, intensity 31; 2θ = 48.08°, intensity 47; 2θ = 63.89°, intensity 45

Crystal structure
Cell lengths 5.829, 5.829, 8.643 Å; angles 90.44, 90.44, 59.94 degrees
Fractional coordinates of all 24 atoms:
Mn: 0.000 0.000 0.000
Mn: 0.163 0.659 0.498
Mn: 0.659 0.163 0.498
Fe: 0.498 0.999 0.996
Fe: 0.660 0.660 0.497
Fe: 0.999 0.498 0.996
Co: 0.160 0.160 0.279
Co: 0.498 0.498 0.776
O: 0.160 0.160 0.884
O: 0.174 0.663 0.888
O: 0.299 0.876 0.137
O: 0.303 0.303 0.142
O: 0.352 0.352 0.631
O: 0.353 0.783 0.630
O: 0.492 0.492 0.387
O: 0.492 0.995 0.388
O: 0.656 0.656 0.890
O: 0.663 0.174 0.888
O: 0.783 0.353 0.630
O: 0.828 0.828 0.604
O: 0.834 0.834 0.105
O: 0.876 0.299 0.137
O: 0.995 0.492 0.388
O: 0.995 0.995 0.390